For KCeF4, a structure optimized by DFT (GGA-PBE) gives the simulated powder X-ray diffraction pattern in this record (CuKα).

The 8 most intense peaks (2θ = 10–90°), low angle first:
| hkl | two_theta | I_rel |
| --- | --- | --- |
| 0 0 2 | 11.2 | 64.8 |
| 1 0 2 | 17.9 | 54.0 |
| 1 0 4 | 26.5 | 64.0 |
| 2 0 0 | 28.0 | 100.0 |
| 0 1 3 | 29.0 | 36.0 |
| 2 1 3 | 40.8 | 55.6 |
| 2 1 5 | 47.0 | 24.8 |
| 1 1 7 | 49.0 | 32.2 |

```
data_KCeF4
_chemical_formula_sum 'K4 Ce4 F16'
_space_group_name_H-M_alt 'P 1'
_space_group_IT_number 1
_space_group_name_Hall 'P 1'
_cell_length_a 6.3680
_cell_length_b 3.7940
_cell_length_c 15.8440
_cell_angle_alpha 90.00
_cell_angle_beta 90.00
_cell_angle_gamma 90.00
loop_
_atom_site_label
_atom_site_fract_x
_atom_site_fract_y
_atom_site_fract_z
K1 0.2206 0.2500 0.2019
K2 0.2794 0.7500 0.7019
K3 0.7206 0.2500 0.2981
K4 0.7794 0.7500 0.7981
Ce1 0.2481 0.7500 0.4384
Ce2 0.2519 0.2500 0.9384
Ce3 0.7481 0.7500 0.0616
Ce4 0.7519 0.2500 0.5616
F1 0.0044 0.2500 0.0591
F2 0.0914 0.2500 0.8062
F3 0.1016 0.2500 0.3643
F4 0.1364 0.2500 0.5360
F5 0.3636 0.7500 0.0360
F6 0.3984 0.7500 0.8643
F7 0.4086 0.7500 0.3062
F8 0.4956 0.7500 0.5591
F9 0.5044 0.2500 0.4409
F10 0.5914 0.2500 0.6938
F11 0.6016 0.2500 0.1357
F12 0.6364 0.2500 0.9640
F13 0.8636 0.7500 0.4640
F14 0.8984 0.7500 0.6357
F15 0.9086 0.7500 0.1938
F16 0.9956 0.7500 0.9409
```